Computed powder diffraction line list
Compound: PmCd2Pd5
Radiation: Cu Kα (λ = 1.5418 Å)
Structure: a structure optimized by DFT (GGA-PBE)
Peak positions follow from Bragg's law for the DFT cell and can differ from measured ones.

```
data_PmCd2Pd5
_chemical_formula_sum 'Pm2 Cd4 Pd10'
_cell_length_a 4.247
_cell_length_b 4.247
_cell_length_c 15.967
_cell_angle_alpha 90.00
_cell_angle_beta 90.00
_cell_angle_gamma 90.00
_space_group_name_H-M_alt 'I 4/m m m'
_space_group_IT_number 139
_space_group_name_Hall '-I 4 2'
loop_
_atom_site_label
_atom_site_fract_x
_atom_site_fract_y
_atom_site_fract_z
_atom_site_occupancy
Pm1 0.000 0.000 0.000 1
Cd1 0.000 0.000 0.252 1
Pd1 0.000 0.000 0.500 1
Pd2 0.000 0.500 0.130 1
```

Most intense lines, 2θ = 15–90°, most intense first:
2theta, I (rel.), h k l
37.5, 100, 1 1 4
42.6, 35, 2 0 0
74.5, 26, 3 1 4
64.0, 20, 2 0 8
45.4, 14, 0 0 8
61.8, 11, 2 2 0
80.0, 10, 2 2 8
78.6, 10, 1 1 12
26.9, 1, 1 0 3
66.3, 1, 1 1 10

***

Computed powder diffraction line list
Compound: Sc4Co2Cu
Radiation: Cu Kα (λ = 1.5418 Å)
Structure: a structure optimized by DFT (GGA-PBE)
Peak positions follow from Bragg's law for the DFT cell and can differ from measured ones.

```
data_Sc4Co2Cu
_chemical_formula_sum 'Sc12 Co6 Cu3'
_cell_length_a 4.4650
_cell_length_b 4.4650
_cell_length_c 21.4387
_cell_angle_alpha 90.00
_cell_angle_beta 90.00
_cell_angle_gamma 120.00
_space_group_name_H-M_alt 'R -3 m'
_space_group_IT_number 166
_space_group_name_Hall '-R 3 2"'
loop_
_atom_site_label
_atom_site_fract_x
_atom_site_fract_y
_atom_site_fract_z
_atom_site_occupancy
Sc1 0.0000 0.0000 0.1197 1
Sc2 0.0000 0.0000 0.3710 1
Co1 0.0000 0.0000 0.2462 1
Cu1 0.0000 0.0000 0.5000 1
```

Most intense lines, 2θ = 15–90°, most intense first:
2theta, I (rel.), h k l
40.4, 100, 1 1 0
41.0, 92, 0 1 8
58.9, 29, 2 0 8
73.9, 28, 1 2 8
73.5, 15, 3 0 0
23.4, 12, 1 0 1
37.5, 12, 1 0 7
75.0, 12, 1 0 16
87.4, 9, 2 2 0
24.5, 8, 0 1 2

***

Computed powder diffraction line list
Compound: Rb2NbAlOs
Radiation: Cu Kα (λ = 1.5418 Å)
Structure: a structure optimized by DFT (GGA-PBE)
Peak positions follow from Bragg's law for the DFT cell and can differ from measured ones.

```
data_Rb2NbAlOs
_chemical_formula_sum 'Rb2 Nb1 Al1 Os1'
_cell_length_a 6.478
_cell_length_b 6.478
_cell_length_c 5.157
_cell_angle_alpha 90.00
_cell_angle_beta 90.00
_cell_angle_gamma 90.00
_space_group_name_H-M_alt 'P 4/m m m'
_space_group_IT_number 123
_space_group_name_Hall '-P 4 2'
loop_
_atom_site_label
_atom_site_fract_x
_atom_site_fract_y
_atom_site_fract_z
_atom_site_occupancy
Rb1 0.000 0.500 0.000 1
Nb1 0.000 0.000 0.000 1
Al1 0.000 0.000 0.500 1
Os1 0.500 0.500 0.500 1
```

Most intense lines, 2θ = 15–90°, most intense first:
2theta, I (rel.), h k l
27.5, 100, 2 0 0
22.0, 95, 1 0 1
26.0, 83, 1 1 1
35.5, 57, 2 1 1
44.9, 52, 2 0 2
39.3, 38, 2 2 0
47.8, 32, 3 1 1
53.5, 31, 2 2 2
34.8, 27, 0 0 2
75.2, 23, 4 2 2

***

Computed powder diffraction line list
Compound: DyCd5Au
Radiation: Cu Kα (λ = 1.5418 Å)
Structure: a structure optimized by DFT (GGA-PBE)
Peak positions follow from Bragg's law for the DFT cell and can differ from measured ones.

```
data_DyCd5Au
_chemical_formula_sum 'Dy1 Cd5 Au1'
_cell_length_a 4.840
_cell_length_b 4.840
_cell_length_c 7.077
_cell_angle_alpha 90.00
_cell_angle_beta 90.00
_cell_angle_gamma 90.00
_space_group_name_H-M_alt 'P 4/m m m'
_space_group_IT_number 123
_space_group_name_Hall '-P 4 2'
loop_
_atom_site_label
_atom_site_fract_x
_atom_site_fract_y
_atom_site_fract_z
_atom_site_occupancy
Dy1 0.000 0.000 0.000 1
Cd1 0.000 0.500 0.286 1
Cd2 0.500 0.500 0.000 1
Au1 0.000 0.000 0.500 1
```

Most intense lines, 2θ = 15–90°, most intense first:
2theta, I (rel.), h k l
36.5, 100, 1 1 2
37.2, 53, 2 0 0
66.6, 33, 3 1 2
18.3, 20, 1 0 0
53.6, 18, 2 2 0
65.3, 13, 2 0 4
31.3, 11, 1 0 2
22.3, 10, 1 0 1
77.6, 8, 2 2 4
29.0, 8, 1 1 1

***

Computed powder diffraction line list
Compound: BaPu2HgO8
Radiation: Cu Kα (λ = 1.5418 Å)
Structure: a structure optimized by DFT (GGA-PBE)
Peak positions follow from Bragg's law for the DFT cell and can differ from measured ones.

```
data_BaPu2HgO8
_chemical_formula_sum 'Ba1 Pu2 Hg1 O8'
_cell_length_a 6.0152
_cell_length_b 6.0152
_cell_length_c 6.5107
_cell_angle_alpha 90.00
_cell_angle_beta 90.00
_cell_angle_gamma 120.00
_space_group_name_H-M_alt 'P -3'
_space_group_IT_number 147
loop_
_space_group_symop_operation_xyz
'x,y,z'
'-x,-y,-z'
'-y,x-y,z'
'y,-x+y,-z'
'-x+y,-x,z'
'x-y,x,-z'
loop_
_atom_site_label
_atom_site_fract_x
_atom_site_fract_y
_atom_site_fract_z
_atom_site_occupancy
Ba1 0.0000 0.0000 0.0000 1
Pu1 0.3333 0.6667 0.4330 1
Hg1 0.0000 0.0000 0.5000 1
O1 0.0591 0.3811 0.6466 1
O2 0.3333 0.6667 0.1411 1
```

Most intense lines, 2θ = 15–90°, most intense first:
2theta, I (rel.), h k l
29.7, 100, 1 1 0
40.8, 59, 2 -1 2
32.8, 51, 2 -1 1
21.9, 34, 0 1 1
52.7, 26, 3 0 0
32.4, 25, 1 0 2
27.4, 24, 0 0 2
60.4, 17, 3 0 2
54.7, 16, 3 0 1
45.3, 16, 0 1 3

***

Computed powder diffraction line list
Compound: TaTl3Br8
Radiation: Cu Kα (λ = 1.5418 Å)
Structure: a structure optimized by DFT (GGA-PBE)
Peak positions follow from Bragg's law for the DFT cell and can differ from measured ones.

```
data_TaTl3Br8
_chemical_formula_sum 'Ta2 Tl6 Br16'
_cell_length_a 9.8291
_cell_length_b 9.8291
_cell_length_c 10.3403
_cell_angle_alpha 90.00
_cell_angle_beta 90.00
_cell_angle_gamma 120.00
_space_group_name_H-M_alt 'P 63 m c'
_space_group_IT_number 186
_space_group_name_Hall 'P 6c -2c'
loop_
_atom_site_label
_atom_site_fract_x
_atom_site_fract_y
_atom_site_fract_z
_atom_site_occupancy
Ta1 0.3333 0.6667 0.0000 1
Tl1 0.1499 0.2997 0.5170 1
Br1 0.0000 0.0000 0.2999 1
Br2 0.0894 0.5447 0.8644 1
Br3 0.2119 0.4237 0.1474 1
Br4 0.3333 0.6667 0.5245 1
```

Most intense lines, 2θ = 15–90°, most intense first:
2theta, I (rel.), h k l
22.6, 100, 2 0 1
27.1, 94, 2 0 2
33.5, 69, 2 0 3
17.2, 57, 0 0 2
36.6, 56, 2 2 0
32.8, 54, 3 0 1
40.7, 40, 2 2 2
29.1, 29, 2 1 1
49.0, 23, 2 0 5
51.3, 23, 2 2 4

***

Computed powder diffraction line list
Compound: ThBe2IrPd2
Radiation: Cu Kα (λ = 1.5418 Å)
Structure: a structure optimized by DFT (GGA-PBE)
Peak positions follow from Bragg's law for the DFT cell and can differ from measured ones.

```
data_ThBe2IrPd2
_chemical_formula_sum 'Th2 Be4 Ir2 Pd4'
_cell_length_a 4.055
_cell_length_b 4.055
_cell_length_c 12.564
_cell_angle_alpha 90.00
_cell_angle_beta 90.00
_cell_angle_gamma 90.00
_space_group_name_H-M_alt 'I 4/m m m'
_space_group_IT_number 139
_space_group_name_Hall '-I 4 2'
loop_
_atom_site_label
_atom_site_fract_x
_atom_site_fract_y
_atom_site_fract_z
_atom_site_occupancy
Th1 0.000 0.000 0.000 1
Be1 0.000 0.000 0.326 1
Ir1 0.000 0.000 0.500 1
Pd1 0.000 0.500 0.250 1
```

Most intense lines, 2θ = 15–90°, most intense first:
2theta, I (rel.), h k l
34.4, 100, 1 1 2
28.4, 41, 0 0 4
54.2, 29, 1 1 6
53.8, 28, 2 0 4
44.7, 26, 2 0 0
75.7, 21, 3 1 2
89.7, 15, 3 1 6
72.5, 12, 2 2 4
76.8, 10, 2 0 8
65.1, 8, 2 2 0

***

Computed powder diffraction line list
Compound: Ce4Cl3F7
Radiation: Cu Kα (λ = 1.5418 Å)
Structure: a structure optimized by DFT (GGA-PBE)
Peak positions follow from Bragg's law for the DFT cell and can differ from measured ones.

```
data_Ce4Cl3F7
_chemical_formula_sum 'Ce8 Cl6 F14'
_cell_length_a 15.764
_cell_length_b 4.069
_cell_length_c 9.694
_cell_angle_alpha 90.00
_cell_angle_beta 127.33
_cell_angle_gamma 90.00
_space_group_name_H-M_alt 'C 1 2/m 1'
_space_group_IT_number 12
loop_
_space_group_symop_operation_xyz
'x,y,z'
'-x,-y,-z'
'-x,y,-z'
'x,-y,z'
'x+1/2,y+1/2,z'
'-x+1/2,-y+1/2,-z'
'-x+1/2,y+1/2,-z'
'x+1/2,-y+1/2,z'
loop_
_atom_site_label
_atom_site_fract_x
_atom_site_fract_y
_atom_site_fract_z
_atom_site_occupancy
Ce1 0.101 0.000 0.300 1
Ce2 0.167 0.500 0.769 1
Cl1 0.000 0.000 0.500 1
Cl2 0.184 0.500 0.190 1
F1 0.000 0.000 0.000 1
F2 0.010 0.500 0.761 1
F3 0.176 0.000 0.922 1
F4 0.190 0.500 0.521 1
```

Most intense lines, 2θ = 15–90°, most intense first:
2theta, I (rel.), h k l
23.1, 100, 0 0 2
27.7, 92, 1 1 1
23.3, 85, 4 0 -1
36.1, 63, 5 1 -2
35.5, 57, 3 1 -3
44.5, 47, 0 2 0
45.9, 46, 1 1 3
23.7, 46, 1 1 -1
44.0, 42, 3 1 -4
27.8, 41, 3 1 -1

***

Computed powder diffraction line list
Compound: Ac6S5
Radiation: Cu Kα (λ = 1.5418 Å)
Structure: a structure optimized by DFT (GGA-PBE)
Peak positions follow from Bragg's law for the DFT cell and can differ from measured ones.

```
data_Ac6S5
_chemical_formula_sum 'Ac12 S10'
_cell_length_a 7.467
_cell_length_b 12.892
_cell_length_c 7.446
_cell_angle_alpha 90.00
_cell_angle_beta 109.52
_cell_angle_gamma 90.00
_space_group_name_H-M_alt 'C 1 2/m 1'
_space_group_IT_number 12
loop_
_space_group_symop_operation_xyz
'x,y,z'
'-x,-y,-z'
'-x,y,-z'
'x,-y,z'
'x+1/2,y+1/2,z'
'-x+1/2,-y+1/2,-z'
'-x+1/2,y+1/2,-z'
'x+1/2,-y+1/2,z'
loop_
_atom_site_label
_atom_site_fract_x
_atom_site_fract_y
_atom_site_fract_z
_atom_site_occupancy
Ac1 0.249 0.167 0.248 1
Ac2 0.250 0.000 0.754 1
S1 0.000 0.000 0.000 1
S2 0.000 0.166 0.500 1
S3 0.000 0.332 0.000 1
```

Most intense lines, 2θ = 15–90°, most intense first:
2theta, I (rel.), h k l
29.4, 100, 1 3 1
25.4, 85, 0 0 2
42.0, 64, 2 0 2
49.7, 34, 2 6 0
25.3, 28, 2 0 0
49.7, 25, 3 3 1
52.1, 20, 2 6 -2
69.0, 18, 4 6 0
67.1, 14, 1 9 -1
60.9, 13, 2 6 2

***

Computed powder diffraction line list
Compound: Rb2LiMoS4
Radiation: Cu Kα (λ = 1.5418 Å)
Structure: a structure optimized by DFT (GGA-PBE)
Peak positions follow from Bragg's law for the DFT cell and can differ from measured ones.

```
data_Rb2LiMoS4
_chemical_formula_sum 'Rb16 Li8 Mo8 S32'
_cell_length_a 5.832
_cell_length_b 13.630
_cell_length_c 24.176
_cell_angle_alpha 90.00
_cell_angle_beta 90.00
_cell_angle_gamma 90.00
_space_group_name_H-M_alt 'F d d d'
_space_group_IT_number 70
loop_
_space_group_symop_operation_xyz
'x,y,z'
'-x,-y,-z'
'-x+1/4,-y+1/4,z'
'x+1/4,y+1/4,-z'
'x,-y+1/4,-z+1/4'
'-x,y+1/4,z+1/4'
'-x+1/4,y,-z+1/4'
'x+1/4,-y,z+1/4'
'x,y+1/2,z+1/2'
'-x,-y+1/2,-z+1/2'
'-x+1/4,-y+3/4,z+1/2'
'x+1/4,y+3/4,-z+1/2'
'x,-y+3/4,-z+3/4'
'-x,y+3/4,z+3/4'
'-x+1/4,y+1/2,-z+3/4'
'x+1/4,-y+1/2,z+3/4'
'x+1/2,y,z+1/2'
'-x+1/2,-y,-z+1/2'
'-x+3/4,-y+1/4,z+1/2'
'x+3/4,y+1/4,-z+1/2'
'x+1/2,-y+1/4,-z+3/4'
'-x+1/2,y+1/4,z+3/4'
'-x+3/4,y,-z+3/4'
'x+3/4,-y,z+3/4'
'x+1/2,y+1/2,z'
'-x+1/2,-y+1/2,-z'
'-x+3/4,-y+3/4,z'
'x+3/4,y+3/4,-z'
'x+1/2,-y+3/4,-z+1/4'
'-x+1/2,y+3/4,z+1/4'
'-x+3/4,y+1/2,-z+1/4'
'x+3/4,-y+1/2,z+1/4'
loop_
_atom_site_label
_atom_site_fract_x
_atom_site_fract_y
_atom_site_fract_z
_atom_site_occupancy
Rb1 0.125 0.125 0.303 1
Li1 0.125 0.125 0.125 1
Mo1 0.125 0.125 0.625 1
S1 0.103 0.279 0.823 1
```

Most intense lines, 2θ = 15–90°, most intense first:
2theta, I (rel.), h k l
27.2, 100, 1 3 3
19.9, 66, 1 1 3
25.7, 50, 0 2 6
38.1, 45, 2 0 6
33.4, 22, 2 2 0
51.0, 18, 2 6 0
37.4, 17, 1 1 9
46.8, 16, 2 4 6
45.9, 16, 0 6 6
52.4, 15, 3 3 3

***

Computed powder diffraction line list
Compound: Y3Cd2Pd4
Radiation: Cu Kα (λ = 1.5418 Å)
Structure: a structure optimized by DFT (GGA-PBE)
Peak positions follow from Bragg's law for the DFT cell and can differ from measured ones.

```
data_Y3Cd2Pd4
_chemical_formula_sum 'Y6 Cd4 Pd8'
_cell_length_a 9.747
_cell_length_b 4.407
_cell_length_c 9.159
_cell_angle_alpha 90.00
_cell_angle_beta 90.96
_cell_angle_gamma 90.00
_space_group_name_H-M_alt 'C 1 2/m 1'
_space_group_IT_number 12
loop_
_space_group_symop_operation_xyz
'x,y,z'
'-x,-y,-z'
'-x,y,-z'
'x,-y,z'
'x+1/2,y+1/2,z'
'-x+1/2,-y+1/2,-z'
'-x+1/2,y+1/2,-z'
'x+1/2,-y+1/2,z'
loop_
_atom_site_label
_atom_site_fract_x
_atom_site_fract_y
_atom_site_fract_z
_atom_site_occupancy
Y1 0.000 0.000 0.000 1
Y2 0.132 0.500 0.387 1
Cd1 0.169 0.500 0.782 1
Pd1 0.076 0.000 0.625 1
Pd2 0.203 0.500 0.086 1
```

Most intense lines, 2θ = 15–90°, most intense first:
2theta, I (rel.), h k l
37.1, 100, 1 1 3
34.3, 89, 3 1 0
41.0, 54, 0 2 0
20.5, 33, 2 0 -1
34.4, 31, 2 0 -3
39.4, 29, 3 1 -2
39.9, 28, 3 1 2
29.5, 23, 1 1 -2
36.9, 21, 1 1 -3
35.8, 18, 3 1 1